DyYCo2Ge2C: simulated X-ray powder pattern (Cu Kα (λ = 1.5418 Å)), based on the PBE geometry in OQMD.
Intensities are scaled so that the largest is 100.

Atomic structure:
```
7
Lattice="5.3665 -1.9623 0.0000 5.3665 1.9623 0.0000 -4.2438 0.0000 5.3646" Properties=species:S:1:pos:R:3 pbc="T T T"
Dy 0.0000 0.0000 0.0000
Y 7.6978 0.0000 2.2246
Co 0.0190 0.0000 3.3605
Co 3.4391 0.0000 4.2378
Ge 2.9694 0.0000 0.0262
Ge 4.7308 0.0000 2.2022
C 1.7278 0.0000 3.8043
```

Top 10 peaks for 5 to 70 degrees two-theta, in order of rising 2θ:
2θ (°), d [Å], Rel. int.
33.41, 2.682, 29.9
33.69, 2.661, 50.5
34.07, 2.631, 81.4
34.82, 2.576, 43.2
36.28, 2.476, 100.0
36.62, 2.454, 40.2
39.48, 2.283, 70.6
41.25, 2.188, 41.4
46.27, 1.962, 47.5
65.48, 1.425, 28.8